# TlVCrO4
Theoretical X-ray powder pattern, Cu Ka. Input: a DFT-relaxed cell (GGA+U, Alexandria).

Crystal structure
Cell lengths 5.4141, 5.7428, 7.7724 Å; angles 90.00, 97.68, 90.00 degrees
Positions (direct):
Tl (0.1505, 0.2500, 0.1422)
Tl (0.8495, 0.7500, 0.8578)
V (0.3311, 0.2500, 0.6532)
V (0.6689, 0.7500, 0.3468)
Cr (0.2058, 0.7500, 0.4619)
Cr (0.7942, 0.2500, 0.5381)
O (0.1353, 0.0102, 0.6698)
O (0.1353, 0.4898, 0.6698)
O (0.3696, 0.7500, 0.2294)
O (0.4182, 0.2500, 0.4433)
O (0.5818, 0.7500, 0.5567)
O (0.6304, 0.2500, 0.7706)
O (0.8647, 0.5102, 0.3302)
O (0.8647, 0.9898, 0.3302)

Main lines, sorted by position (2θ = 10–90°):
index, 2θ (°), d_spacing, intensity
1 0 -1, 18.85, 4.708, 55
1 1 0, 22.68, 3.921, 58
1 1 1, 26.50, 3.364, 93
1 0 -2, 26.63, 3.348, 28
0 1 2, 27.89, 3.199, 100
1 0 2, 30.32, 2.948, 28
1 1 -2, 30.92, 2.892, 43
0 2 0, 31.15, 2.871, 54
1 2 -1, 36.66, 2.451, 42
2 1 -1, 37.43, 2.403, 28